[1]
Structure and computed powder diffractogram of PmEr4 (DFT lattice parameters and positions (GGA-PBE); λ = 1.5418 Å (Cu Kα)).

Structural model:
```
5
Lattice="3.062 -1.769 0.000 3.062 1.769 0.000 -2.019 0.000 14.363" Properties=species:S:1:pos:R:3 pbc="T T T"
Pm 0.000 0.000 0.000
Er 0.013 0.000 8.604
Er 2.044 0.000 2.923
Er 2.061 0.000 11.440
Er 4.093 0.000 5.759
```

Most intense lines, 2θ = 15–90°, sorted by position:
2θ (°)	d/Å	I/Imax
30.99	2.886	100.0
31.14	2.873	32.8
35.97	2.496	67.1
51.69	1.768	24.1
51.89	1.762	23.6
61.53	1.507	33.2
61.63	1.505	9.4
61.76	1.502	13.9
64.58	1.443	12.3
84.43	1.147	11.9
87.19	1.118	11.2
87.46	1.115	7.3

[2]
Structure and computed powder diffractogram of Al7Ag3 (DFT lattice parameters and positions (GGA-PBE); λ = 1.5418 Å (Cu Kα)).

Structural model:
```
10
Lattice="4.980 0.000 0.000 -0.814 4.924 0.000 -1.554 -2.723 6.875" Properties=species:S:1:pos:R:3 pbc="T T T"
Al 0.000 0.000 0.000
Al -0.753 -0.877 4.824
Al 0.878 2.668 0.665
Al 0.110 1.796 5.510
Al 2.501 0.405 1.365
Al 1.733 -0.467 6.210
Al 3.364 3.078 2.051
Ag 0.023 0.849 2.675
Ag 1.713 -1.362 3.438
Ag 2.589 1.352 4.201
```

Most intense lines, 2θ = 15–90°, sorted by position:
2θ (°)	d/Å	I/Imax
19.65	4.518	17.7
25.90	3.440	17.3
27.55	3.237	23.4
30.37	2.943	20.5
37.86	2.377	49.2
38.36	2.347	100.0
38.64	2.330	47.5
44.46	2.038	67.3
44.64	2.030	30.8
64.30	1.449	19.6
65.37	1.428	18.8
78.11	1.224	22.1

[3]
Structure and computed powder diffractogram of Pa2Zn16In (DFT lattice parameters and positions (GGA-PBE); λ = 1.5418 Å (Cu Kα)).

Structural model:
```
19
Lattice="4.542 2.622 4.409 -4.542 2.622 4.409 0.000 -5.245 4.409" Properties=species:S:1:pos:R:3 pbc="T T T"
Pa 0.000 0.000 0.000
Pa 0.000 0.000 4.230
Zn 0.000 -2.540 2.320
Zn -2.199 1.270 2.320
Zn -2.354 -1.359 6.554
Zn 0.000 -2.751 6.352
Zn -2.382 1.375 6.352
Zn -1.381 -2.400 8.758
Zn -2.769 0.004 8.758
Zn 2.199 1.270 2.320
Zn 1.381 -2.400 8.758
Zn -1.388 2.396 8.758
Zn 2.354 -1.359 6.554
Zn 0.000 2.718 6.554
Zn 0.000 0.000 10.170
Zn 2.382 1.375 6.352
Zn 2.769 0.004 8.758
Zn 1.388 2.396 8.758
In 0.000 0.000 7.441
```

Most intense lines, 2θ = 15–90°, sorted by position:
2θ (°)	d/Å	I/Imax
28.21	3.164	38.4
34.19	2.622	52.0
35.46	2.531	29.3
39.69	2.271	61.0
40.00	2.254	100.0
40.81	2.211	21.9
40.94	2.204	27.4
41.12	2.195	16.2
58.30	1.583	23.4
65.14	1.432	18.5
72.02	1.311	19.9
73.93	1.282	21.0

[4]
Structure and computed powder diffractogram of U3BiC2 (DFT lattice parameters and positions (GGA-PBE); λ = 1.5418 Å (Cu Kα)).

Structural model:
```
12
Lattice="2.039 -6.942 0.000 2.039 6.942 0.000 0.000 0.000 8.643" Properties=species:S:1:pos:R:3 pbc="T T T"
U 2.039 5.914 6.482
U 2.039 1.448 4.690
U 2.039 1.448 8.274
U 2.039 -1.448 0.369
U 2.039 -1.448 3.953
U 2.039 -5.914 2.161
Bi 2.039 3.657 2.161
Bi 2.039 -3.657 6.482
C 0.000 0.000 0.000
C 0.000 0.000 4.322
C 2.039 0.011 2.161
C 2.039 -0.011 6.482
```

Most intense lines, 2θ = 15–90°, sorted by position:
2θ (°)	d/Å	I/Imax
30.82	2.901	91.3
31.00	2.885	100.0
33.10	2.706	32.5
33.68	2.661	30.4
38.81	2.320	17.9
38.92	2.314	23.2
40.70	2.217	17.4
41.81	2.161	17.8
44.42	2.039	28.4
44.70	2.027	29.8
61.62	1.505	36.3
73.36	1.291	19.4

[5]
Structure and computed powder diffractogram of Tl2CdIn5 (DFT lattice parameters and positions (GGA-PBE); λ = 1.5418 Å (Cu Kα)).

Structural model:
```
8
Lattice="-2.307 2.307 10.358 2.307 -2.307 10.358 2.307 2.307 -10.358" Properties=species:S:1:pos:R:3 pbc="T T T"
Tl 0.000 0.000 5.147
Tl 0.000 0.000 15.570
Cd 0.000 0.000 0.000
In 2.307 0.000 2.444
In 2.307 0.000 7.915
In 0.000 0.000 10.358
In 0.000 2.307 2.444
In 0.000 2.307 7.915
```

Most intense lines, 2θ = 15–90°, sorted by position:
2θ (°)	d/Å	I/Imax
28.69	3.112	4.9
32.43	2.761	100.0
34.64	2.590	20.1
39.04	2.307	30.6
53.17	1.723	23.3
56.40	1.631	10.3
60.69	1.526	14.5
66.59	1.404	24.4
67.91	1.380	11.1
83.88	1.154	3.3
86.12	1.129	5.0
87.54	1.114	10.7

Q: Which formula does entry 3 have?
A: Pa2Zn16In